Diffraction record for Tb2Zn17. The PXRD pattern is theoretical, not measured: it uses a DFT-relaxed cell (PBE, the Materials Project) and copper Kα.
Neutral-atom scattering factors, no anomalous dispersion.

Atomic structure:
```
38
Lattice="8.988 0.000 0.000 -4.494 7.784 0.000 0.000 0.000 8.792" Properties=species:S:1:pos:R:3 pbc="T T T"
Tb 0.000 0.000 2.198
Tb 0.000 0.000 6.594
Tb 0.000 5.189 2.198
Tb 4.494 2.595 6.594
Zn -2.247 3.892 0.000
Zn -2.247 3.892 4.396
Zn -1.305 2.860 6.594
Zn -2.670 5.224 6.594
Zn 0.000 2.516 0.184
Zn 0.000 2.516 4.212
Zn -2.315 6.526 0.184
Zn -2.315 6.526 4.212
Zn 2.179 1.258 4.580
Zn 2.179 1.258 8.608
Zn 1.305 2.860 6.594
Zn -1.365 7.484 6.594
Zn 0.000 5.189 5.288
Zn 0.000 5.189 7.900
Zn 3.129 0.300 2.198
Zn 1.824 2.560 2.198
Zn 4.494 0.000 0.000
Zn 4.494 0.000 4.396
Zn 2.247 3.892 0.000
Zn 2.247 3.892 4.396
Zn 2.670 5.224 6.594
Zn 1.365 7.484 6.594
Zn 4.494 2.595 0.892
Zn 4.494 2.595 3.504
Zn 5.859 0.300 2.198
Zn 3.189 4.924 2.198
Zn 2.315 6.526 0.184
Zn 2.315 6.526 4.212
Zn 6.809 1.258 4.580
Zn 6.809 1.258 8.608
Zn 4.494 5.267 4.580
Zn 4.494 5.267 8.608
Zn 7.164 2.560 2.198
Zn 5.799 4.924 2.198
```

Most intense lines, 2θ = 10–90°, sorted by position:
d 3.143, 2θ = 28.40°, I = 28; d 2.595, 2θ = 34.57°, I = 39; d 2.341, 2θ = 38.45°, I = 37; d 2.247, 2θ = 40.13°, I = 59; d 2.234, 2θ = 40.37°, I = 100; d 2.198, 2θ = 41.06°, I = 32; d 2.001, 2θ = 45.33°, I = 28; d 1.418, 2θ = 65.87°, I = 16; d 1.297, 2θ = 72.92°, I = 19; d 1.276, 2θ = 74.34°, I = 20